Na3HfAlSi2SO12: computed PXRD pattern (Cu Kα), based on a structure optimized by DFT (PBE).
Kinematic intensities with the Lorentz-polarization factor, no thermal factor.

Main lines, sorted by position (10° ≤ 2θ ≤ 90°):
- 2θ 14.05, I 100.0
- 2θ 19.58, I 64.0
- 2θ 19.85, I 87.1
- 2θ 31.04, I 45.5
- 2θ 31.43, I 53.9
- 2θ 31.75, I 66.9

Crystal structure
Cell lengths 8.954, 8.954, 8.908 Å; angles 118.98, 118.98, 59.79 degrees
Positions (direct):
Na 0.061 0.939 0.500
Na 0.159 0.695 0.760
Na 0.289 0.444 0.009
Na 0.444 0.289 0.509
Na 0.695 0.159 0.260
Na 0.939 0.061 0.000
Hf 0.342 0.857 0.218
Hf 0.857 0.342 0.718
Al 0.042 0.554 0.337
Al 0.554 0.042 0.837
Si 0.164 0.250 0.534
Si 0.250 0.164 0.034
Si 0.748 0.939 0.542
Si 0.939 0.748 0.042
S 0.446 0.664 0.537
S 0.664 0.446 0.037
O 0.067 0.184 0.855
O 0.123 0.759 0.045
O 0.141 0.427 0.503
O 0.184 0.067 0.355
O 0.208 0.346 0.208
O 0.272 0.973 0.042
O 0.287 0.653 0.537
O 0.346 0.208 0.708
O 0.414 0.673 0.362
O 0.427 0.141 0.003
O 0.484 0.824 0.689
O 0.489 0.600 0.053
O 0.566 0.912 0.370
O 0.600 0.489 0.553
O 0.653 0.287 0.037
O 0.673 0.414 0.862
O 0.711 0.987 0.726
O 0.759 0.123 0.545
O 0.768 0.934 0.016
O 0.824 0.484 0.189
O 0.912 0.566 0.870
O 0.934 0.768 0.516
O 0.973 0.272 0.542
O 0.987 0.711 0.226